Record 1
Theoretical powder diffraction line list of Ge3N4 for Cu Ka, from a DFT-relaxed cell (PBE, Alexandria).

a b c (Å): 5.950 5.950 5.950
angles (deg): 109.47 109.47 109.47
Positions (direct):
1 Ge 0.125 0.750 0.875
2 Ge 0.250 0.625 0.375
3 Ge 0.375 0.250 0.625
4 Ge 0.625 0.375 0.250
5 Ge 0.750 0.875 0.125
6 Ge 0.875 0.125 0.750
7 N 0.000 0.055 0.500
8 N 0.000 0.555 0.500
9 N 0.055 0.500 0.000
10 N 0.445 0.445 0.445
11 N 0.500 0.000 0.055
12 N 0.500 0.000 0.555
13 N 0.555 0.500 0.000
14 N 0.945 0.945 0.945

Main lines, by angle (10° ≤ 2θ ≤ 90°):
2θ (°)  Rel. int.
31.9  100
41.6  21
49.6  19
53.3  4
60.2  19
63.5  16
66.7  7
69.8  18
75.8  4
87.5  15

Record 2
Theoretical powder diffraction line list of Nd3Ga2Pd6 for Cu Ka, from a DFT-relaxed cell (PBE, Alexandria).

a b c (Å): 8.318 8.318 8.318
angles (deg): 109.47 109.47 109.47
Positions (direct):
1 Nd 0.000 0.291 0.291
2 Nd 0.000 0.709 0.709
3 Nd 0.291 0.000 0.291
4 Nd 0.291 0.291 0.000
5 Nd 0.709 0.000 0.709
6 Nd 0.709 0.709 0.000
7 Ga 0.000 0.000 0.500
8 Ga 0.000 0.500 0.000
9 Ga 0.500 0.000 0.000
10 Ga 0.500 0.500 0.500
11 Pd 0.000 0.331 0.669
12 Pd 0.000 0.669 0.331
13 Pd 0.331 0.000 0.669
14 Pd 0.331 0.331 0.662
15 Pd 0.331 0.662 0.331
16 Pd 0.331 0.669 0.000
17 Pd 0.338 0.669 0.669
18 Pd 0.662 0.331 0.331
19 Pd 0.669 0.000 0.331
20 Pd 0.669 0.331 0.000
21 Pd 0.669 0.338 0.669
22 Pd 0.669 0.669 0.338

Main lines, by angle (10° ≤ 2θ ≤ 90°):
2θ (°)  Rel. int.
13.0  13
29.4  20
32.3  14
35.0  28
37.5  16
39.8  100
57.6  10
59.3  17
64.3  15
72.3  26

Record 3
Theoretical powder diffraction line list of Pm5Dy5Th2 for Cu Ka, from a DFT-relaxed cell (PBE, Alexandria).

a b c (Å): 6.211 8.034 8.816
angles (deg): 111.15 90.08 104.90
Positions (direct):
1 Pm 0.000 0.000 0.000
2 Pm 0.082 0.744 0.582
3 Pm 0.250 0.256 0.754
4 Pm 0.750 0.744 0.246
5 Pm 0.918 0.256 0.418
6 Dy 0.333 0.995 0.331
7 Dy 0.413 0.746 0.917
8 Dy 0.500 0.500 0.500
9 Dy 0.587 0.254 0.083
10 Dy 0.667 0.005 0.669
11 Th 0.163 0.502 0.164
12 Th 0.837 0.498 0.836

Main lines, by angle (10° ≤ 2θ ≤ 90°):
2θ (°)  Rel. int.
30.4  100
30.5  33
35.2  23
35.3  45
50.7  16
50.9  32
60.2  10
60.3  19
60.4  19
60.5  10

Record 4
Theoretical powder diffraction line list of CuIr3 for Cu Ka, from a DFT-relaxed cell (PBE, Alexandria).

a b c (Å): 2.731 8.787 4.702
angles (deg): 90.00 90.00 90.00
Positions (direct):
1 Cu 0.000 0.000 0.000
2 Cu 0.500 0.500 0.500
3 Ir 0.000 0.245 0.668
4 Ir 0.000 0.500 0.996
5 Ir 0.000 0.755 0.668
6 Ir 0.500 0.000 0.496
7 Ir 0.500 0.255 0.168
8 Ir 0.500 0.745 0.168

Main lines, by angle (10° ≤ 2θ ≤ 90°):
2θ (°)  Rel. int.
21.4  16
38.1  28
41.1  39
43.5  100
43.7  52
57.3  17
69.1  17
76.5  19
83.7  20
85.1  17

Record 5
Theoretical powder diffraction line list of Mg10In6Pb for Cu Ka, from a DFT-relaxed cell (PBE, Alexandria).

a b c (Å): 8.753 8.753 6.240
angles (deg): 90.00 90.00 120.00
Positions (direct):
1 Mg 0.000 0.287 0.307
2 Mg 0.000 0.713 0.693
3 Mg 0.287 0.000 0.307
4 Mg 0.287 0.287 0.693
5 Mg 0.333 0.667 0.000
6 Mg 0.333 0.667 0.500
7 Mg 0.667 0.333 0.000
8 Mg 0.667 0.333 0.500
9 Mg 0.713 0.000 0.693
10 Mg 0.713 0.713 0.307
11 In 0.000 0.374 0.781
12 In 0.000 0.626 0.219
13 In 0.374 0.000 0.781
14 In 0.374 0.374 0.219
15 In 0.626 0.000 0.219
16 In 0.626 0.626 0.781
17 Pb 0.000 0.000 0.000

Main lines, by angle (10° ≤ 2θ ≤ 90°):
2θ (°)  Rel. int.
18.4  27
23.5  29
24.8  100
27.5  24
34.4  50
35.3  97
35.5  89
45.5  25
51.0  24
63.7  21

Record 6
Theoretical powder diffraction line list of LiTmIn for Cu Ka, from a DFT-relaxed cell (PBE, Alexandria).

a b c (Å): 4.955 8.610 6.201
angles (deg): 90.00 90.00 90.00
Positions (direct):
1 Li 0.000 0.165 0.250
2 Li 0.000 0.835 0.750
3 Li 0.500 0.335 0.750
4 Li 0.500 0.665 0.250
5 Tm 0.000 0.167 0.750
6 Tm 0.000 0.833 0.250
7 Tm 0.500 0.333 0.250
8 Tm 0.500 0.667 0.750
9 In 0.000 0.500 0.000
10 In 0.000 0.500 0.500
11 In 0.500 0.000 0.000
12 In 0.500 0.000 0.500

Main lines, by angle (10° ≤ 2θ ≤ 90°):
2θ (°)  Rel. int.
25.2  100
35.7  85
36.2  83
44.7  14
48.9  17
51.8  29
58.7  13
64.7  20
65.2  10
71.8  22

Record 7
Theoretical powder diffraction line list of KAg2SeBr8 for Cu Ka, from a DFT-relaxed cell (PBE, Alexandria).

a b c (Å): 6.543 6.962 8.658
angles (deg): 90.10 90.54 99.25
Positions (direct):
1 K 0.000 0.000 0.000
2 Ag 0.499 0.499 0.754
3 Ag 0.501 0.501 0.246
4 Se 0.000 0.000 0.500
5 Br 0.221 0.857 0.296
6 Br 0.224 0.861 0.706
7 Br 0.238 0.469 0.000
8 Br 0.267 0.345 0.499
9 Br 0.733 0.655 0.501
10 Br 0.762 0.531 0.000
11 Br 0.776 0.139 0.294
12 Br 0.779 0.143 0.704

Main lines, by angle (10° ≤ 2θ ≤ 90°):
2θ (°)  Rel. int.
16.5  45
17.3  60
20.3  100
27.4  88
28.9  51
29.2  51
34.5  47
35.3  73
35.6  85
41.7  54

Record 8
Theoretical powder diffraction line list of ThTl2Cd2 for Cu Ka, from a DFT-relaxed cell (PBE, Alexandria).

a b c (Å): 5.305 5.305 12.831
angles (deg): 90.00 90.00 120.00
Positions (direct):
1 Th 0.000 0.000 0.250
2 Th 0.000 0.000 0.750
3 Tl 0.000 0.000 0.000
4 Tl 0.000 0.000 0.500
5 Tl 0.333 0.667 0.250
6 Tl 0.667 0.333 0.750
7 Cd 0.333 0.667 0.617
8 Cd 0.333 0.667 0.883
9 Cd 0.667 0.333 0.117
10 Cd 0.667 0.333 0.383

Main lines, by angle (10° ≤ 2θ ≤ 90°):
2θ (°)  Rel. int.
13.8  15
19.3  23
28.5  47
33.8  100
34.1  51
44.3  21
48.8  19
60.4  19
60.6  20
68.3  25

Record 9
Theoretical powder diffraction line list of Ac3Hg2Pt3 for Cu Ka, from a DFT-relaxed cell (PBE, Alexandria).

a b c (Å): 9.208 9.208 6.238
angles (deg): 90.00 90.00 120.00
Positions (direct):
1 Ac 0.000 0.311 0.250
2 Ac 0.000 0.689 0.750
3 Ac 0.311 0.000 0.250
4 Ac 0.311 0.311 0.750
5 Ac 0.689 0.000 0.750
6 Ac 0.689 0.689 0.250
7 Hg 0.333 0.667 0.000
8 Hg 0.333 0.667 0.500
9 Hg 0.667 0.333 0.000
10 Hg 0.667 0.333 0.500
11 Pt 0.000 0.352 0.750
12 Pt 0.000 0.648 0.250
13 Pt 0.352 0.000 0.750
14 Pt 0.352 0.352 0.250
15 Pt 0.648 0.000 0.250
16 Pt 0.648 0.648 0.750

Main lines, by angle (10° ≤ 2θ ≤ 90°):
2θ (°)  Rel. int.
11.1  17
28.6  14
33.7  100
34.7  76
44.8  22
49.2  27
60.3  17
61.0  27
69.9  25
89.6  12

Record 10
Theoretical powder diffraction line list of V2Cr3Ga for Cu Ka, from a DFT-relaxed cell (PBE, Alexandria).

a b c (Å): 6.276 6.276 4.976
angles (deg): 90.00 90.00 58.88
Positions (direct):
1 V 0.204 0.204 0.000
2 V 0.204 0.204 0.500
3 V 0.796 0.796 0.000
4 V 0.796 0.796 0.500
5 Cr 0.114 0.886 0.750
6 Cr 0.254 0.498 0.750
7 Cr 0.498 0.254 0.250
8 Cr 0.502 0.746 0.750
9 Cr 0.746 0.502 0.250
10 Cr 0.886 0.114 0.250
11 Ga 0.276 0.724 0.250
12 Ga 0.724 0.276 0.750

Main lines, by angle (10° ≤ 2θ ≤ 90°):
2θ (°)  Rel. int.
33.4  78
33.8  56
38.1  29
39.8  100
43.9  55
46.6  68
46.9  33
48.1  82
48.6  67
73.9  29